Record 1
For LiMg14Nb, a crystal structure in the Materials Project, relaxed with GGA-PBE gives the computed PXRD pattern in this record (Cu Ka).
Kinematic intensities with the Lorentz-polarization factor, no thermal factor.

Atomic structure:
```
data_LiMg14Nb
_space_group_name_H-M_alt 'P -6 m 2'
_space_group_IT_number 187
_space_group_name_Hall 'P -6 2'
_cell_length_a 6.3783
_cell_length_b 6.3783
_cell_length_c 9.9535
_cell_angle_alpha 90.00
_cell_angle_beta 90.00
_cell_angle_gamma 120.00
loop_
_atom_site_label
_atom_site_type_symbol
_atom_site_fract_x
_atom_site_fract_y
_atom_site_fract_z
Li1 Li 0.0000 0.0000 0.0000
Mg1 Mg 0.0011 0.5006 0.0000
Mg2 Mg 0.0033 0.5016 0.5000
Mg3 Mg 0.1622 0.3244 0.2529
Mg4 Mg 0.6667 0.3333 0.2510
Nb1 Nb 0.0000 0.0000 0.5000
```

Most intense lines, 10° ≤ 2θ ≤ 90°, sorted by position:
18.37°, rel. 32, (1 0 1)
32.42°, rel. 25, (2 0 0)
36.10°, rel. 24, (0 0 4)
37.23°, rel. 100, (2 0 2)
49.29°, rel. 15, (2 0 4)
57.82°, rel. 17, (2 2 0)
65.65°, rel. 18, (2 0 6)
70.09°, rel. 19, (2 2 4)


Record 2
For KAlSi3O8, a crystal structure in the Materials Project, relaxed with GGA-PBE gives the computed PXRD pattern in this record (Cu Ka).
Kinematic intensities with the Lorentz-polarization factor, no thermal factor.

Atomic structure:
```
data_KAlSi3O8
_space_group_name_H-M_alt 'P -1'
_space_group_IT_number 2
_cell_length_a 7.326
_cell_length_b 7.723
_cell_length_c 8.027
_cell_angle_alpha 112.91
_cell_angle_beta 104.45
_cell_angle_gamma 103.49
loop_
_space_group_symop_operation_xyz
'x,y,z'
'-x,-y,-z'
loop_
_atom_site_label
_atom_site_type_symbol
_atom_site_fract_x
_atom_site_fract_y
_atom_site_fract_z
K1 K 0.137 0.291 0.276
Al1 Al 0.217 0.822 0.200
Si1 Si 0.232 0.193 0.829
Si2 Si 0.340 0.593 0.834
Si3 Si 0.352 0.823 0.595
O1 O 0.018 0.146 0.855
O2 O 0.220 0.674 0.971
O3 O 0.241 0.977 0.691
O4 O 0.252 0.717 0.358
O5 O 0.269 0.345 0.733
O6 O 0.287 0.634 0.645
O7 O 0.404 0.066 0.312
O8 O 0.412 0.303 0.049
```

Most intense lines, 10° ≤ 2θ ≤ 90°, sorted by position:
20.73°, rel. 49, (-1 1 1)
22.91°, rel. 29, (0 1 -2)
23.70°, rel. 29, (0 2 -1)
26.06°, rel. 42, (0 0 2)
26.70°, rel. 44, (-2 1 1)
27.04°, rel. 100, (2 0 0)
29.79°, rel. 26, (1 2 -1)
41.29°, rel. 28, (0 3 -3)


Record 3
For RbCd6C12BrO26, a crystal structure in the Materials Project, relaxed with GGA-PBE gives the computed PXRD pattern in this record (Cu Ka).
Kinematic intensities with the Lorentz-polarization factor, no thermal factor.

Atomic structure:
```
data_RbCd6C12BrO26
_space_group_name_H-M_alt 'R -3'
_space_group_IT_number 148
_space_group_name_Hall '-R 3'
_cell_length_a 9.5380
_cell_length_b 9.5380
_cell_length_c 24.3771
_cell_angle_alpha 90.00
_cell_angle_beta 90.00
_cell_angle_gamma 120.00
loop_
_atom_site_label
_atom_site_type_symbol
_atom_site_fract_x
_atom_site_fract_y
_atom_site_fract_z
Rb1 Rb 0.0000 0.0000 0.0000
Cd1 Cd 0.0498 0.5893 0.2374
C1 C 0.0299 0.5847 0.0135
C2 C 0.0573 0.4842 0.5185
Br1 Br 0.0000 0.0000 0.5000
O1 O 0.0000 0.0000 0.2572
O2 O 0.0031 0.3178 0.0093
O3 O 0.0396 0.6204 0.8307
O4 O 0.0558 0.8327 0.3915
O5 O 0.0993 0.8801 0.8946
```

Most intense lines, 10° ≤ 2θ ≤ 90°, sorted by position:
12.95°, rel. 100, (0 1 2)
21.61°, rel. 50, (2 -1 3)
26.06°, rel. 99, (0 2 4)
28.85°, rel. 39, (3 -1 1)
34.10°, rel. 52, (1 2 5)
36.65°, rel. 23, (2 0 8)
39.52°, rel. 47, (4 -3 1)
47.31°, rel. 22, (3 -1 10)


Record 4
For CuSb2O6, a crystal structure in the Materials Project, relaxed with GGA-PBE gives the computed PXRD pattern in this record (Cu Ka).
Kinematic intensities with the Lorentz-polarization factor, no thermal factor.

Atomic structure:
```
data_CuSb2O6
_space_group_name_H-M_alt 'P 1 21/c 1'
_space_group_IT_number 14
_cell_length_a 4.746
_cell_length_b 4.697
_cell_length_c 10.442
_cell_angle_alpha 90.00
_cell_angle_beta 116.05
_cell_angle_gamma 90.00
loop_
_space_group_symop_operation_xyz
'x,y,z'
'-x,-y,-z'
'-x,y+1/2,-z+1/2'
'x,-y+1/2,z+1/2'
loop_
_atom_site_label
_atom_site_type_symbol
_atom_site_fract_x
_atom_site_fract_y
_atom_site_fract_z
Cu1 Cu 0.000 0.000 0.000
Sb1 Sb 0.332 0.009 0.332
O1 O 0.016 0.195 0.831
O2 O 0.317 0.700 0.998
O3 O 0.357 0.224 0.174
```

Most intense lines, 10° ≤ 2θ ≤ 90°, sorted by position:
26.71°, rel. 100, (1 1 -1)
34.07°, rel. 19, (1 0 2)
34.46°, rel. 40, (0 1 3)
34.62°, rel. 17, (1 0 -4)
51.77°, rel. 16, (2 1 1)
52.20°, rel. 17, (1 2 2)
52.58°, rel. 32, (1 2 -4)
55.02°, rel. 16, (2 2 -2)


Record 5
For MnRh, a crystal structure in the Materials Project, relaxed with GGA-PBE gives the computed PXRD pattern in this record (Cu Ka).
Kinematic intensities with the Lorentz-polarization factor, no thermal factor.

Atomic structure:
```
data_MnRh
_space_group_name_H-M_alt 'P m -3 m'
_space_group_IT_number 221
_space_group_name_Hall '-P 4 2 3'
_cell_length_a 3.045
_cell_length_b 3.045
_cell_length_c 3.045
_cell_angle_alpha 90.00
_cell_angle_beta 90.00
_cell_angle_gamma 90.00
loop_
_atom_site_label
_atom_site_type_symbol
_atom_site_fract_x
_atom_site_fract_y
_atom_site_fract_z
Mn1 Mn 0.000 0.000 0.000
Rh1 Rh 0.500 0.500 0.500
```

Most intense lines, 10° ≤ 2θ ≤ 90°, sorted by position:
29.33°, rel. 13, (1 0 0)
41.96°, rel. 100, (1 1 0)
52.01°, rel. 4, (1 1 1)
60.83°, rel. 16, (2 0 0)
68.95°, rel. 5, (2 1 0)
76.64°, rel. 31, (2 1 1)


Record 6
For Sb, a crystal structure in the Materials Project, relaxed with GGA-PBE gives the computed PXRD pattern in this record (Cu Ka).
Kinematic intensities with the Lorentz-polarization factor, no thermal factor.

Atomic structure:
```
data_Sb
_space_group_name_H-M_alt 'F m -3 m'
_space_group_IT_number 225
_space_group_name_Hall '-F 4 2 3'
_cell_length_a 4.791
_cell_length_b 4.791
_cell_length_c 4.791
_cell_angle_alpha 90.00
_cell_angle_beta 90.00
_cell_angle_gamma 90.00
loop_
_atom_site_label
_atom_site_type_symbol
_atom_site_fract_x
_atom_site_fract_y
_atom_site_fract_z
Sb1 Sb 0.000 0.000 0.000
```

Most intense lines, 10° ≤ 2θ ≤ 90°, sorted by position:
32.37°, rel. 100, (1 1 1)
37.55°, rel. 50, (2 0 0)
54.15°, rel. 34, (2 2 0)
64.51°, rel. 40, (3 1 1)
67.75°, rel. 11, (2 2 2)
80.13°, rel. 5, (4 0 0)
89.08°, rel. 17, (3 3 1)